This entry pairs a crystal structure of Pr2SmZn2Si4Pd2 with its computed X-ray powder pattern. Radiation: Cu Kα X-rays. Structure: the PBE geometry in OQMD.

Structural model:
Cell lengths 12.904, 12.904, 12.904 Å; angles 161.64, 161.08, 26.48 degrees
Fractional coordinates of all 11 atoms:
Pr 0.146 0.146 0.000
Pr 0.854 0.854 0.000
Sm 0.500 0.000 0.500
Zn 0.250 0.750 0.500
Zn 0.750 0.250 0.500
Si 0.047 0.547 0.500
Si 0.309 0.309 0.000
Si 0.691 0.691 0.000
Si 0.953 0.453 0.500
Pd 0.406 0.406 0.000
Pd 0.594 0.594 0.000

Principal peaks in the range 2θ = 15–90°, in order of rising 2θ:
2theta, I (rel.)
23.51, 19
33.11, 38
33.52, 100
38.61, 12
42.63, 21
43.98, 19
45.09, 20
55.02, 18
62.91, 13
64.81, 14

This entry pairs a crystal structure of AsPt7 with its computed X-ray powder pattern. Radiation: Cu Kα X-rays. Structure: the PBE geometry in OQMD.

Structural model:
Cell lengths 2.824, 3.851, 31.497 Å; angles 90.00, 90.00, 90.00 degrees
Fractional coordinates of all 16 atoms:
As 0.250 0.250 0.166
As 0.750 0.750 0.834
Pt 0.250 0.250 0.249
Pt 0.250 0.250 0.341
Pt 0.250 0.250 0.432
Pt 0.250 0.250 0.523
Pt 0.250 0.250 0.614
Pt 0.250 0.250 0.704
Pt 0.250 0.250 0.800
Pt 0.750 0.750 0.200
Pt 0.750 0.750 0.296
Pt 0.750 0.750 0.386
Pt 0.750 0.750 0.477
Pt 0.750 0.750 0.568
Pt 0.750 0.750 0.659
Pt 0.750 0.750 0.751

Principal peaks in the range 2θ = 15–90°, in order of rising 2θ:
2theta, I (rel.)
36.86, 22
39.20, 100
39.57, 100
39.68, 32
45.09, 68
47.23, 49
67.33, 42
78.99, 25
79.70, 26
82.56, 16

This entry pairs a crystal structure of CuAg2 with its computed X-ray powder pattern. Radiation: Cu Kα X-rays. Structure: the PBE geometry in OQMD.

Structural model:
Cell lengths 2.849, 2.849, 13.668 Å; angles 90.00, 90.00, 120.00 degrees
Fractional coordinates of all 6 atoms:
Cu 0.333 0.667 0.339
Cu 0.667 0.333 0.661
Ag 0.000 0.000 0.000
Ag 0.000 0.000 0.500
Ag 0.333 0.667 0.820
Ag 0.667 0.333 0.180

Principal peaks in the range 2θ = 15–90°, in order of rising 2θ:
2theta, I (rel.)
37.03, 4
38.81, 100
39.56, 28
45.34, 60
65.53, 20
66.58, 17
78.85, 11
79.33, 20
80.30, 8
83.28, 9